The following is a computed powder X-ray diffraction pattern of MgZn2MoWO6. It was derived from DFT lattice parameters and positions (GGA+U), using Cu Kα, 1.54184 Å.

Peak list (10 most intense, 10° ≤ 2θ ≤ 90°, by angle)
d [Å], I/Imax
3.988, 48
2.990, 71
2.676, 100
2.594, 39
2.381, 20
1.994, 23
1.868, 45
1.863, 17
1.599, 22
1.545, 31

Cell and atoms:
```
MgZn2MoWO6
1.0
5.350 0.000 0.000
-2.673 4.636 0.000
-2.671 -1.545 5.217
Mg Zn Mo W O
1 2 1 1 6
direct
0.000 0.000 0.000
0.673 0.836 0.510
0.829 0.415 0.245
0.313 0.656 0.969
0.363 0.182 0.545
0.157 0.921 0.762
0.195 0.783 0.253
0.469 0.412 0.253
0.529 0.605 0.764
0.840 0.058 0.253
0.840 0.235 0.763
```